# Li8Mn3CrO12
Simulated X-ray powder pattern, Cu Ka. Input: a GGA+U-relaxed structure.

The 6 most intense peaks (2θ = 15–90°), in order of rising 2θ:
d (Å), 2theta, intensity, index
4.281, 20.8, 96, 0 1 1
4.259, 20.9, 100, 0 1 -1
2.705, 33.1, 18, 1 1 2
2.691, 33.3, 34, -1 1 2
2.134, 42.3, 19, 2 -1 1
1.748, 52.3, 48, 2 2 0

Atomic structure:
Unit cell a=4.9328 b=4.9576 c=8.4357 alpha=89.68 beta=89.62 gamma=89.91
Space group P1 (No. 1)
Symmetry-distinct sites (fractional):
Li1 0.0000 0.0000 0.0000 (multiplicity 1)
Li2 0.0010 0.0060 0.3135 (multiplicity 1)
Li3 0.0022 0.5023 0.6512 (multiplicity 1)
Li4 0.4959 0.0026 0.8392 (multiplicity 1)
Li5 0.4972 0.5010 0.8159 (multiplicity 1)
Li6 0.5022 0.5022 0.5034 (multiplicity 1)
Li7 0.5145 0.0052 0.1489 (multiplicity 1)
Li8 0.9871 0.5061 0.3401 (multiplicity 1)
Mn1 0.0010 0.0024 0.6658 (multiplicity 1)
Mn2 0.5033 0.0007 0.4881 (multiplicity 1)
Mn3 0.9956 0.4969 0.9842 (multiplicity 1)
Cr1 0.4860 0.5040 0.1678 (multiplicity 1)
O1 0.1485 0.7511 0.8249 (multiplicity 1)
O2 0.1757 0.7170 0.1482 (multiplicity 1)
O3 0.1762 0.7878 0.5009 (multiplicity 1)
O4 0.3178 0.2815 0.9992 (multiplicity 1)
O5 0.3244 0.2180 0.6507 (multiplicity 1)
O6 0.3606 0.2524 0.3248 (multiplicity 1)
O7 0.6501 0.7594 0.3286 (multiplicity 1)
O8 0.6734 0.7149 0.0020 (multiplicity 1)
O9 0.6750 0.7875 0.6517 (multiplicity 1)
O10 0.8243 0.2882 0.1506 (multiplicity 1)
O11 0.8275 0.2195 0.5013 (multiplicity 1)
O12 0.8466 0.2520 0.8253 (multiplicity 1)